Entry 1:
Starting from a DFT-relaxed cell (PBE, Alexandria), the powder diffractogram of K2NaCd2Hg5 was calculated for Cu Kα X-rays.

Structural model:
Cell lengths 12.0757, 12.0757, 4.1147 Å; angles 90.00, 90.00, 90.00 degrees
Sites, in units of the cell vectors:
K  0.1721  0.3279  0.0000
K  0.3279  0.8279  0.0000
K  0.6721  0.1721  0.0000
K  0.8279  0.6721  0.0000
Na  0.0000  0.0000  0.0000
Na  0.5000  0.5000  0.0000
Cd  0.1276  0.6276  0.0000
Cd  0.3724  0.1276  0.0000
Cd  0.6276  0.8724  0.0000
Cd  0.8724  0.3724  0.0000
Hg  0.0000  0.5000  0.5000
Hg  0.0631  0.8114  0.5000
Hg  0.1886  0.0631  0.5000
Hg  0.3114  0.5631  0.5000
Hg  0.4369  0.3114  0.5000
Hg  0.5000  0.0000  0.5000
Hg  0.5631  0.6886  0.5000
Hg  0.6886  0.4369  0.5000
Hg  0.8114  0.9369  0.5000
Hg  0.9369  0.1886  0.5000

Main lines, most intense first (10° ≤ 2θ ≤ 90°):
2theta  d (Å)  intensity
32.0  2.799  100
34.5  2.598  53
30.5  2.929  43
16.4  5.400  37
37.7  2.386  33
21.6  4.115  32



Entry 2:
Starting from a DFT-relaxed cell (PBE, Alexandria), the powder diffractogram of KRb2CdHg was calculated for Cu Kα X-rays.

Structural model:
Cell lengths 7.1318, 7.1318, 5.9262 Å; angles 90.00, 90.00, 90.00 degrees
Sites, in units of the cell vectors:
K  0.0000  0.0000  0.0000
Rb  0.0000  0.5000  0.5000
Rb  0.5000  0.0000  0.5000
Cd  0.5000  0.5000  0.5000
Hg  0.5000  0.5000  0.0000

Main lines, most intense first (10° ≤ 2θ ≤ 90°):
2theta  d (Å)  intensity
12.4  7.132  100
25.0  3.566  80
23.2  3.841  61
39.5  2.279  47
28.0  3.189  32
35.6  2.521  32



Entry 3:
Starting from a DFT-relaxed cell (PBE, Alexandria), the powder diffractogram of K2RbCdHg2 was calculated for Cu Kα X-rays.

Structural model:
Cell lengths 4.9957, 10.3531, 9.4741 Å; angles 90.00, 90.00, 90.00 degrees
Sites, in units of the cell vectors:
K  0.0000  0.0822  0.0000
K  0.0000  0.9178  0.5000
K  0.5000  0.1922  0.3446
K  0.5000  0.8078  0.8446
Rb  0.5000  0.4317  0.9309
Rb  0.5000  0.5683  0.4309
Cd  0.0000  0.2940  0.6291
Cd  0.0000  0.7060  0.1291
Hg  0.0000  0.4082  0.2080
Hg  0.0000  0.5918  0.7080
Hg  0.5000  0.1324  0.7091
Hg  0.5000  0.8676  0.2091

Main lines, most intense first (10° ≤ 2θ ≤ 90°):
2theta  d (Å)  intensity
27.3  3.262  100
32.9  2.720  62
19.5  4.543  51
18.7  4.737  39
36.0  2.498  38
33.2  2.696  36



Entry 4:
Starting from a DFT-relaxed cell (PBE, Alexandria), the powder diffractogram of K2Rb6CdHg was calculated for Cu Kα X-rays.

Structural model:
Cell lengths 10.2401, 10.2401, 10.2024 Å; angles 119.86, 119.86, 90.07 degrees
Sites, in units of the cell vectors:
K  0.2500  0.7500  0.0000
K  0.7500  0.2500  0.0000
Rb  0.2375  0.2375  0.9749
Rb  0.2443  0.2443  0.4910
Rb  0.2439  0.7474  0.4912
Rb  0.7412  0.7412  0.9819
Rb  0.7474  0.2439  0.4912
Rb  0.7480  0.7480  0.4915
Cd  0.4884  0.4884  0.4754
Hg  0.9888  0.9888  0.4763

Main lines, most intense first (10° ≤ 2θ ≤ 90°):
2theta  d (Å)  intensity
24.6  3.620  100
12.2  7.241  93
27.5  3.240  49
35.0  2.563  39
35.1  2.560  26
56.9  1.619  25



Entry 5:
Starting from a DFT-relaxed cell (PBE, Alexandria), the powder diffractogram of KRb2Cd3Hg12 was calculated for Cu Kα X-rays.

Structural model:
Cell lengths 9.9101, 9.9101, 9.9101 Å; angles 63.03, 63.03, 63.03 degrees
Sites, in units of the cell vectors:
K  0.0000  0.0000  0.0000
Rb  0.4138  0.4138  0.4138
Rb  0.5862  0.5862  0.5862
Cd  0.0000  0.0000  0.5000
Cd  0.0000  0.5000  0.0000
Cd  0.5000  0.0000  0.0000
Hg  0.1539  0.6900  0.6900
Hg  0.1795  0.1795  0.4955
Hg  0.1795  0.4955  0.1795
Hg  0.3100  0.3100  0.8461
Hg  0.3100  0.8461  0.3100
Hg  0.4955  0.1795  0.1795
Hg  0.5045  0.8205  0.8205
Hg  0.6900  0.1539  0.6900
Hg  0.6900  0.6900  0.1539
Hg  0.8205  0.5045  0.8205
Hg  0.8205  0.8205  0.5045
Hg  0.8461  0.3100  0.3100

Main lines, most intense first (10° ≤ 2θ ≤ 90°):
2theta  d (Å)  intensity
27.4  3.260  100
36.5  2.461  59
20.5  4.332  39
11.2  7.902  39
34.6  2.590  37
12.4  7.154  35



Entry 6:
Starting from a DFT-relaxed cell (PBE, Alexandria), the powder diffractogram of K2CdSn4Hg3 was calculated for Cu Kα X-rays.

Structural model:
Cell lengths 4.8960, 4.8960, 12.6381 Å; angles 90.00, 90.00, 90.00 degrees
Sites, in units of the cell vectors:
K  0.0000  0.5000  0.2474
K  0.5000  0.0000  0.7526
Cd  0.5000  0.5000  0.0000
Sn  0.0000  0.0000  0.5000
Sn  0.0000  0.5000  0.8671
Sn  0.5000  0.0000  0.1329
Sn  0.5000  0.5000  0.5000
Hg  0.0000  0.0000  0.0000
Hg  0.0000  0.5000  0.6432
Hg  0.5000  0.0000  0.3568

Main lines, most intense first (10° ≤ 2θ ≤ 90°):
2theta  d (Å)  intensity
29.4  3.036  100
38.6  2.334  99
19.4  4.565  81
36.7  2.448  81
67.4  1.390  40
40.1  2.246  36



Entry 7:
Starting from a DFT-relaxed cell (PBE, Alexandria), the powder diffractogram of K4TlCd3Hg12 was calculated for Cu Kα X-rays.

Structural model:
Cell lengths 9.9370, 9.9370, 9.9370 Å; angles 109.47, 109.47, 109.47 degrees
Sites, in units of the cell vectors:
K  0.0000  0.0000  0.5000
K  0.0000  0.5000  0.0000
K  0.5000  0.0000  0.0000
K  0.5000  0.5000  0.5000
Tl  0.0000  0.0000  0.0000
Cd  0.0000  0.5000  0.5000
Cd  0.5000  0.0000  0.5000
Cd  0.5000  0.5000  0.0000
Hg  0.0000  0.2555  0.2555
Hg  0.0000  0.7445  0.7445
Hg  0.2500  0.5000  0.7500
Hg  0.2500  0.7500  0.5000
Hg  0.2555  0.0000  0.2555
Hg  0.2555  0.2555  0.0000
Hg  0.5000  0.2500  0.7500
Hg  0.5000  0.7500  0.2500
Hg  0.7445  0.0000  0.7445
Hg  0.7445  0.7445  0.0000
Hg  0.7500  0.2500  0.5000
Hg  0.7500  0.5000  0.2500

Main lines, most intense first (10° ≤ 2θ ≤ 90°):
2theta  d (Å)  intensity
31.2  2.869  100
26.9  3.312  81
44.7  2.028  75
15.4  5.737  75
35.0  2.566  43
52.9  1.730  39



Entry 8:
Starting from a DFT-relaxed cell (PBE, Alexandria), the powder diffractogram of LaCd11Hg was calculated for Cu Kα X-rays.

Structural model:
Cell lengths 7.7095, 7.7095, 7.6990 Å; angles 98.84, 98.84, 133.79 degrees
Sites, in units of the cell vectors:
La  0.0000  0.0000  0.0000
Cd  0.0000  0.0000  0.5000
Cd  0.0000  0.5000  0.0000
Cd  0.0031  0.6494  0.6482
Cd  0.2836  0.4977  0.7865
Cd  0.3506  0.9969  0.3518
Cd  0.4977  0.2836  0.7865
Cd  0.5000  0.0000  0.0000
Cd  0.5023  0.7164  0.2135
Cd  0.6494  0.0031  0.6482
Cd  0.7164  0.5023  0.2135
Cd  0.9969  0.3506  0.3518
Hg  0.5000  0.5000  0.5000

Main lines, most intense first (10° ≤ 2θ ≤ 90°):
2theta  d (Å)  intensity
35.5  2.526  100
34.6  2.590  98
39.1  2.301  82
35.8  2.506  70
30.6  2.925  46
40.2  2.241  46